1.
Diffraction record for NaErSn3. The X-ray diffraction stick pattern is theoretical, not measured: it uses the PBE geometry in Alexandria and a wavelength of 1.5418 Å.
Lines closer than 0.1° are merged.

Main lines, most intense first (10 to 80 degrees two-theta):
34.89 deg, I 100; 31.62 deg, I 86; 32.49 deg, I 79; 34.61 deg, I 76; 31.33 deg, I 74; 41.45 deg, I 55; 40.90 deg, I 35; 68.87 deg, I 35; 28.45 deg, I 31; 70.29 deg, I 27

Cell and atoms:
abc: 13.779 6.207 6.274
angles: 90.00 90.00 90.00
Atoms (fractional coordinates):
Na (0.098, 0.250, 0.000)
Na (0.098, 0.250, 0.500)
Na (0.902, 0.750, 0.000)
Na (0.902, 0.750, 0.500)
Er (0.322, 0.004, 0.250)
Er (0.322, 0.496, 0.750)
Er (0.678, 0.504, 0.250)
Er (0.678, 0.996, 0.750)
Sn (0.115, 0.718, 0.750)
Sn (0.115, 0.782, 0.250)
Sn (0.289, 0.006, 0.750)
Sn (0.289, 0.494, 0.250)
Sn (0.495, 0.750, 0.000)
Sn (0.495, 0.750, 0.500)
Sn (0.505, 0.250, 0.000)
Sn (0.505, 0.250, 0.500)
Sn (0.711, 0.506, 0.750)
Sn (0.711, 0.994, 0.250)
Sn (0.885, 0.218, 0.750)
Sn (0.885, 0.282, 0.250)

***

2.
Diffraction record for NaErTlSn. The X-ray diffraction stick pattern is theoretical, not measured: it uses the PBE geometry in Alexandria and a wavelength of 1.5418 Å.
Lines closer than 0.1° are merged.

Main lines, most intense first (10 to 80 degrees two-theta):
33.70 deg, I 100; 60.28 deg, I 38; 20.45 deg, I 23; 48.41 deg, I 18; 39.75 deg, I 13; 70.87 deg, I 12; 23.66 deg, I 8; 53.07 deg, I 6; 64.36 deg, I 4; 74.66 deg, I 4

Cell and atoms:
abc: 7.521 7.521 7.521
angles: 90.00 90.00 90.00
Atoms (fractional coordinates):
Na (0.000, 0.000, 0.000)
Na (0.000, 0.500, 0.500)
Na (0.500, 0.000, 0.500)
Na (0.500, 0.500, 0.000)
Er (0.000, 0.000, 0.500)
Er (0.000, 0.500, 0.000)
Er (0.500, 0.000, 0.000)
Er (0.500, 0.500, 0.500)
Tl (0.250, 0.250, 0.250)
Tl (0.250, 0.750, 0.750)
Tl (0.750, 0.250, 0.750)
Tl (0.750, 0.750, 0.250)
Sn (0.250, 0.250, 0.750)
Sn (0.250, 0.750, 0.250)
Sn (0.750, 0.250, 0.250)
Sn (0.750, 0.750, 0.750)

***

3.
Diffraction record for Na2ErTh2Te6. The X-ray diffraction stick pattern is theoretical, not measured: it uses the PBE geometry in Alexandria and a wavelength of 1.5418 Å.
Lines closer than 0.1° are merged.

Main lines, most intense first (10 to 80 degrees two-theta):
28.00 deg, I 100; 11.51 deg, I 49; 40.88 deg, I 36; 39.10 deg, I 27; 50.28 deg, I 20; 23.60 deg, I 15; 39.21 deg, I 14; 42.61 deg, I 13; 66.77 deg, I 11; 30.37 deg, I 9

Cell and atoms:
abc: 7.646 7.646 8.109
angles: 99.16 99.16 119.97
Atoms (fractional coordinates):
Na (0.169, 0.831, 0.000)
Na (0.831, 0.169, 0.000)
Er (0.000, 0.000, 0.500)
Th (0.333, 0.667, 0.500)
Th (0.667, 0.333, 0.500)
Te (0.083, 0.407, 0.738)
Te (0.248, 0.248, 0.263)
Te (0.407, 0.083, 0.738)
Te (0.593, 0.917, 0.262)
Te (0.752, 0.752, 0.737)
Te (0.917, 0.593, 0.262)

***

4.
Diffraction record for Na4Y3ErTe8. The X-ray diffraction stick pattern is theoretical, not measured: it uses the PBE geometry in Alexandria and a wavelength of 1.5418 Å.
Lines closer than 0.1° are merged.

Main lines, most intense first (10 to 80 degrees two-theta):
28.11 deg, I 100; 39.52 deg, I 38; 40.81 deg, I 37; 50.27 deg, I 24; 11.69 deg, I 23; 66.68 deg, I 19; 64.87 deg, I 18; 24.53 deg, I 12; 58.11 deg, I 12; 73.43 deg, I 12

Cell and atoms:
abc: 9.129 9.129 9.129
angles: 57.95 57.95 57.95
Atoms (fractional coordinates):
Na (0.000, 0.000, 0.000)
Na (0.000, 0.500, 0.500)
Na (0.500, 0.000, 0.500)
Na (0.500, 0.500, 0.000)
Y (0.000, 0.000, 0.500)
Y (0.000, 0.500, 0.000)
Y (0.500, 0.000, 0.000)
Er (0.500, 0.500, 0.500)
Te (0.244, 0.244, 0.244)
Te (0.246, 0.743, 0.743)
Te (0.257, 0.257, 0.754)
Te (0.257, 0.754, 0.257)
Te (0.743, 0.246, 0.743)
Te (0.743, 0.743, 0.246)
Te (0.754, 0.257, 0.257)
Te (0.756, 0.756, 0.756)

***

5.
Diffraction record for Na3Er3ZrTe8. The X-ray diffraction stick pattern is theoretical, not measured: it uses the PBE geometry in Alexandria and a wavelength of 1.5418 Å.
Lines closer than 0.1° are merged.

Main lines, most intense first (10 to 80 degrees two-theta):
28.44 deg, I 100; 11.52 deg, I 45; 39.48 deg, I 38; 41.80 deg, I 36; 51.33 deg, I 19; 68.27 deg, I 16; 64.98 deg, I 15; 36.35 deg, I 14; 24.09 deg, I 12; 58.85 deg, I 12

Cell and atoms:
abc: 9.159 9.159 9.159
angles: 56.32 56.32 56.32
Atoms (fractional coordinates):
Na (0.000, 0.500, 0.500)
Na (0.500, 0.000, 0.500)
Na (0.500, 0.500, 0.000)
Er (0.000, 0.000, 0.500)
Er (0.000, 0.500, 0.000)
Er (0.500, 0.000, 0.000)
Zr (0.500, 0.500, 0.500)
Te (0.244, 0.244, 0.244)
Te (0.251, 0.736, 0.736)
Te (0.264, 0.264, 0.749)
Te (0.264, 0.749, 0.264)
Te (0.736, 0.251, 0.736)
Te (0.736, 0.736, 0.251)
Te (0.749, 0.264, 0.264)
Te (0.756, 0.756, 0.756)

***

6.
Diffraction record for Na3ErTl4. The X-ray diffraction stick pattern is theoretical, not measured: it uses the PBE geometry in Alexandria and a wavelength of 1.5418 Å.
Lines closer than 0.1° are merged.

Main lines, most intense first (10 to 80 degrees two-theta):
33.53 deg, I 100; 33.25 deg, I 52; 23.34 deg, I 36; 59.54 deg, I 19; 59.65 deg, I 19; 23.74 deg, I 17; 41.26 deg, I 17; 60.09 deg, I 10; 47.65 deg, I 10; 47.82 deg, I 9

Cell and atoms:
abc: 7.634 7.608 8.406
angles: 90.00 116.89 90.00
Atoms (fractional coordinates):
Na (0.000, 0.000, 0.000)
Na (0.248, 0.500, 0.496)
Na (0.252, 0.000, 0.504)
Na (0.500, 0.500, 0.000)
Na (0.748, 0.000, 0.496)
Na (0.752, 0.500, 0.504)
Er (0.000, 0.500, 0.000)
Er (0.500, 0.000, 0.000)
Tl (0.129, 0.250, 0.758)
Tl (0.129, 0.750, 0.758)
Tl (0.371, 0.250, 0.242)
Tl (0.371, 0.750, 0.242)
Tl (0.629, 0.250, 0.758)
Tl (0.629, 0.750, 0.758)
Tl (0.871, 0.250, 0.242)
Tl (0.871, 0.750, 0.242)

***

7.
Diffraction record for NaEr2Tl9. The X-ray diffraction stick pattern is theoretical, not measured: it uses the PBE geometry in Alexandria and a wavelength of 1.5418 Å.
Lines closer than 0.1° are merged.

Main lines, most intense first (10 to 80 degrees two-theta):
32.39 deg, I 100; 37.57 deg, I 50; 64.55 deg, I 42; 54.18 deg, I 35; 67.80 deg, I 12; 18.53 deg, I 4; 26.32 deg, I 3; 42.20 deg, I 2; 19.55 deg, I 2; 46.46 deg, I 2

Cell and atoms:
abc: 4.786 4.786 14.380
angles: 90.00 90.00 90.00
Atoms (fractional coordinates):
Na (0.000, 0.000, 0.000)
Er (0.000, 0.000, 0.340)
Er (0.000, 0.000, 0.660)
Tl (0.000, 0.500, 0.170)
Tl (0.000, 0.500, 0.500)
Tl (0.000, 0.500, 0.830)
Tl (0.500, 0.000, 0.170)
Tl (0.500, 0.000, 0.500)
Tl (0.500, 0.000, 0.830)
Tl (0.500, 0.500, 0.000)
Tl (0.500, 0.500, 0.334)
Tl (0.500, 0.500, 0.666)

***

8.
Diffraction record for Na2ErZn9. The X-ray diffraction stick pattern is theoretical, not measured: it uses the PBE geometry in Alexandria and a wavelength of 1.5418 Å.
Lines closer than 0.1° are merged.

Main lines, most intense first (10 to 80 degrees two-theta):
39.66 deg, I 100; 10.33 deg, I 54; 38.94 deg, I 31; 42.21 deg, I 29; 39.43 deg, I 23; 63.94 deg, I 23; 23.64 deg, I 23; 33.41 deg, I 21; 70.19 deg, I 20; 33.94 deg, I 20

Cell and atoms:
abc: 9.106 9.106 9.106
angles: 34.25 34.25 34.25
Atoms (fractional coordinates):
Na (0.144, 0.144, 0.144)
Na (0.856, 0.856, 0.856)
Er (0.000, 0.000, 0.000)
Zn (0.079, 0.583, 0.583)
Zn (0.334, 0.334, 0.334)
Zn (0.417, 0.417, 0.921)
Zn (0.417, 0.921, 0.417)
Zn (0.500, 0.500, 0.500)
Zn (0.583, 0.079, 0.583)
Zn (0.583, 0.583, 0.079)
Zn (0.666, 0.666, 0.666)
Zn (0.921, 0.417, 0.417)